Record 1
Diffraction record for Li4Mn5Co3O16. The X-ray powder pattern is calculated, not measured: it uses a DFT-relaxed cell (GGA+U, the Materials Project) and CuKα.
Lines closer than 0.1° are merged.

Structural model:
Unit cell a=5.739 b=5.739 c=9.409 alpha=90.84 beta=90.84 gamma=59.89
Element x y z (fractional)
Li  0.000  0.000  0.000
Li  0.001  0.001  0.507
Li  0.325  0.325  0.608
Li  0.660  0.660  0.098
Mn  0.163  0.661  0.284
Mn  0.325  0.325  0.008
Mn  0.656  0.656  0.515
Mn  0.661  0.163  0.284
Mn  0.821  0.821  0.785
Co  0.166  0.166  0.283
Co  0.333  0.819  0.787
Co  0.819  0.333  0.787
O  0.034  0.475  0.159
O  0.155  0.666  0.903
O  0.159  0.159  0.901
O  0.317  0.835  0.395
O  0.331  0.331  0.390
O  0.475  0.034  0.159
O  0.476  0.476  0.159
O  0.504  0.504  0.674
O  0.509  0.950  0.662
O  0.660  0.660  0.891
O  0.666  0.155  0.903
O  0.835  0.317  0.395
O  0.838  0.838  0.391
O  0.950  0.509  0.662
O  0.991  0.991  0.694
O  0.996  0.996  0.187

Peak list (10 most intense, 10 to 90 degrees two-theta, in order of rising 2θ)
2theta	I (rel.)
18.9	100
20.1	67
20.3	74
36.4	27
36.9	24
37.6	40
41.3	28
46.5	29
46.9	28
65.0	36

Record 2
Diffraction record for Li4MnCo3O8. The X-ray powder pattern is calculated, not measured: it uses a DFT-relaxed cell (GGA+U, the Materials Project) and CuKα.
Lines closer than 0.1° are merged.

Structural model:
Unit cell a=5.985 b=5.985 c=5.867 alpha=119.29 beta=119.29 gamma=58.22
Element x y z (fractional)
Li  0.000  0.000  0.000
Li  0.000  0.500  0.000
Li  0.500  0.000  0.000
Li  0.500  0.500  0.000
Mn  0.000  0.000  0.500
Co  0.000  0.500  0.500
Co  0.500  0.000  0.500
Co  0.500  0.500  0.500
O  0.237  0.749  0.724
O  0.251  0.763  0.276
O  0.258  0.258  0.736
O  0.260  0.260  0.269
O  0.740  0.740  0.731
O  0.742  0.742  0.264
O  0.749  0.237  0.724
O  0.763  0.251  0.276

Peak list (10 most intense, 10 to 90 degrees two-theta, in order of rising 2θ)
2theta	I (rel.)
18.2	100
34.6	17
36.0	27
37.0	10
37.2	10
41.7	29
43.8	50
46.9	11
57.8	9
62.1	30